MnVZnO4: calculated powder XRD pattern (Cu Kα (weighted mean of Kα1 and Kα2)), based on a structure optimized by DFT (GGA+U).
Lines closer than 0.1° are merged.

Structural model:
```
data_MnVZnO4
_cell_length_a 6.0082
_cell_length_b 6.0514
_cell_length_c 8.3713
_cell_angle_alpha 90.00
_cell_angle_beta 90.00
_cell_angle_gamma 90.00
_symmetry_space_group_name_H-M 'I m m a'
_symmetry_Int_Tables_number 74
_symmetry_space_group_name_Hall '-I 2b 2'
loop_
_atom_site_label
_atom_site_type_symbol
_atom_site_fract_x
_atom_site_fract_y
_atom_site_fract_z
Mn1 Mn 0.2500 0.2500 0.2500
V1 V 0.0000 0.0000 0.0000
Zn1 Zn 0.0000 0.2500 0.6239
O1 O 0.0000 0.0258 0.2416
O2 O 0.2308 0.2500 0.0141
```

The 6 most intense peaks (2θ = 10–80°), low angle first:
d/Å, I/Imax, hkl
2.987, 75, 1 1 2
2.572, 92, 1 2 1
2.562, 100, 2 1 1
2.532, 92, 0 1 3
1.642, 33, 2 3 1
1.493, 81, 2 2 4